Record 1
CuCl: calculated PXRD pattern (λ = 1.5418 Å (Cu Kα)), based on the PBE geometry in Alexandria.
Intensities are scaled so that the largest is 100.

Peak list (12 most intense, 2θ from 10° to 90°, in order of rising 2θ)
- 23.44 deg, rel. 15
- 30.40 deg, rel. 10
- 33.38 deg, rel. 100
- 41.19 deg, rel. 4
- 50.02 deg, rel. 15
- 52.04 deg, rel. 52
- 55.94 deg, rel. 18
- 65.00 deg, rel. 5
- 66.73 deg, rel. 7
- 78.31 deg, rel. 7
- 79.92 deg, rel. 9
- 83.10 deg, rel. 9

Atomic structure:
```
data_CuCl
_chemical_formula_sum 'Cu8 Cl8'
_space_group_name_H-M_alt 'P a -3'
_space_group_IT_number 205
_space_group_name_Hall '-P 2ac 2ab 3'
_cell_length_a 6.5748
_cell_length_b 6.5748
_cell_length_c 6.5748
_cell_angle_alpha 90.00
_cell_angle_beta 90.00
_cell_angle_gamma 90.00
loop_
_atom_site_label
_atom_site_fract_x
_atom_site_fract_y
_atom_site_fract_z
_atom_site_occupancy
Cu1 0.1194 0.1194 0.1194 1
Cl1 0.1581 0.6581 0.8419 1
```

***

Record 2
La2YUAs4: calculated PXRD pattern (λ = 1.5418 Å (Cu Kα)), based on the PBE geometry in Alexandria.
Intensities are scaled so that the largest is 100.

Peak list (12 most intense, 2θ from 10° to 90°, in order of rising 2θ)
- 12.79 deg, rel. 7
- 25.82 deg, rel. 14
- 29.85 deg, rel. 100
- 42.52 deg, rel. 12
- 42.64 deg, rel. 25
- 42.84 deg, rel. 38
- 53.00 deg, rel. 7
- 53.13 deg, rel. 13
- 61.97 deg, rel. 8
- 70.21 deg, rel. 11
- 70.50 deg, rel. 17
- 78.39 deg, rel. 10

Atomic structure:
```
data_La2YUAs4
_chemical_formula_sum 'La2 Y1 U1 As4'
_space_group_name_H-M_alt 'P 1 2/m 1'
_space_group_IT_number 10
_cell_length_a 7.3168
_cell_length_b 4.2192
_cell_length_c 7.3590
_cell_angle_alpha 90.00
_cell_angle_beta 109.17
_cell_angle_gamma 90.00
loop_
_space_group_symop_operation_xyz
'x,y,z'
'-x,-y,-z'
'-x,y,-z'
'x,-y,z'
loop_
_atom_site_label
_atom_site_fract_x
_atom_site_fract_y
_atom_site_fract_z
_atom_site_occupancy
La1 0.0000 0.0000 0.0000 1
La2 0.5000 0.5000 0.0000 1
Y1 0.0000 0.5000 0.5000 1
U1 0.5000 0.0000 0.5000 1
As1 0.2492 0.0000 0.7330 1
As2 0.2588 0.5000 0.2684 1
```

***

Record 3
YGaPd3: calculated PXRD pattern (λ = 1.5418 Å (Cu Kα)), based on the PBE geometry in Alexandria.
Intensities are scaled so that the largest is 100.

Peak list (12 most intense, 2θ from 10° to 90°, in order of rising 2θ)
- 10.53 deg, rel. 70
- 17.95 deg, rel. 88
- 21.15 deg, rel. 32
- 31.76 deg, rel. 35
- 32.47 deg, rel. 58
- 34.70 deg, rel. 57
- 36.36 deg, rel. 79
- 41.47 deg, rel. 45
- 42.29 deg, rel. 100
- 43.06 deg, rel. 32
- 47.75 deg, rel. 42
- 54.77 deg, rel. 32

Atomic structure:
```
data_YGaPd3
_chemical_formula_sum 'Y4 Ga4 Pd12'
_space_group_name_H-M_alt 'I -4 m 2'
_space_group_IT_number 119
_space_group_name_Hall 'I -4 -2'
_cell_length_a 5.1697
_cell_length_b 5.1697
_cell_length_c 16.8049
_cell_angle_alpha 90.00
_cell_angle_beta 90.00
_cell_angle_gamma 90.00
loop_
_atom_site_label
_atom_site_fract_x
_atom_site_fract_y
_atom_site_fract_z
_atom_site_occupancy
Y1 0.0000 0.0000 0.1183 1
Ga1 0.0000 0.0000 0.5000 1
Ga2 0.0000 0.5000 0.7500 1
Pd1 0.0000 0.2462 0.6275 1
Pd2 0.0000 0.5000 0.0283 1
```

***

Record 4
Zn3CuAu6: calculated PXRD pattern (λ = 1.5418 Å (Cu Kα)), based on the PBE geometry in Alexandria.
Intensities are scaled so that the largest is 100.

Peak list (12 most intense, 2θ from 10° to 90°, in order of rising 2θ)
- 26.50 deg, rel. 38
- 35.80 deg, rel. 19
- 36.89 deg, rel. 37
- 38.74 deg, rel. 72
- 40.91 deg, rel. 100
- 41.12 deg, rel. 99
- 41.86 deg, rel. 52
- 54.57 deg, rel. 24
- 64.01 deg, rel. 18
- 71.59 deg, rel. 19
- 71.74 deg, rel. 19
- 77.38 deg, rel. 18

Atomic structure:
```
data_Zn3CuAu6
_chemical_formula_sum 'Zn6 Cu2 Au12'
_space_group_name_H-M_alt 'P 1 21/m 1'
_space_group_IT_number 11
_cell_length_a 7.6171
_cell_length_b 4.6488
_cell_length_c 9.9674
_cell_angle_alpha 90.00
_cell_angle_beta 110.96
_cell_angle_gamma 90.00
loop_
_space_group_symop_operation_xyz
'x,y,z'
'-x,-y,-z'
'-x,y+1/2,-z'
'x,-y+1/2,z'
loop_
_atom_site_label
_atom_site_fract_x
_atom_site_fract_y
_atom_site_fract_z
_atom_site_occupancy
Zn1 0.0918 0.2500 0.2280 1
Zn2 0.2964 0.2500 0.0248 1
Zn3 0.3179 0.7500 0.3761 1
Cu1 0.1144 0.7500 0.5745 1
Au1 0.0673 0.2500 0.7100 1
Au2 0.1039 0.7500 0.0761 1
Au3 0.2701 0.2500 0.5168 1
Au4 0.2905 0.7500 0.8648 1
Au5 0.4855 0.2500 0.3303 1
Au6 0.4927 0.2500 0.8321 1
```

***

Record 5
GaTc5: calculated PXRD pattern (λ = 1.5418 Å (Cu Kα)), based on the PBE geometry in Alexandria.
Intensities are scaled so that the largest is 100.

Peak list (12 most intense, 2θ from 10° to 90°, in order of rising 2θ)
- 35.37 deg, rel. 31
- 36.73 deg, rel. 18
- 38.58 deg, rel. 20
- 38.74 deg, rel. 65
- 40.71 deg, rel. 100
- 41.10 deg, rel. 82
- 42.93 deg, rel. 25
- 44.29 deg, rel. 26
- 44.90 deg, rel. 66
- 48.20 deg, rel. 39
- 80.46 deg, rel. 30
- 89.18 deg, rel. 18

Atomic structure:
```
data_GaTc5
_chemical_formula_sum 'Ga2 Tc10'
_space_group_name_H-M_alt 'P 21 21 2'
_space_group_IT_number 18
_cell_length_a 4.8934
_cell_length_b 4.9151
_cell_length_c 7.4490
_cell_angle_alpha 90.00
_cell_angle_beta 90.00
_cell_angle_gamma 90.00
loop_
_space_group_symop_operation_xyz
'x,y,z'
'-x,-y,z'
'x+1/2,-y+1/2,-z'
'-x+1/2,y+1/2,-z'
loop_
_atom_site_label
_atom_site_fract_x
_atom_site_fract_y
_atom_site_fract_z
_atom_site_occupancy
Ga1 0.0000 0.0000 0.0730 1
Tc1 0.0000 0.5000 0.9406 1
Tc2 0.2385 0.1349 0.4031 1
Tc3 0.2462 0.1238 0.7472 1
```

***

Record 6
Y2AlSb: calculated PXRD pattern (λ = 1.5418 Å (Cu Kα)), based on the PBE geometry in Alexandria.
Intensities are scaled so that the largest is 100.

Peak list (12 most intense, 2θ from 10° to 90°, in order of rising 2θ)
- 15.77 deg, rel. 18
- 30.51 deg, rel. 100
- 31.26 deg, rel. 32
- 31.85 deg, rel. 28
- 38.16 deg, rel. 57
- 38.65 deg, rel. 19
- 40.72 deg, rel. 23
- 43.45 deg, rel. 19
- 52.60 deg, rel. 13
- 54.50 deg, rel. 13
- 57.39 deg, rel. 12
- 61.06 deg, rel. 14

Atomic structure:
```
data_Y2AlSb
_chemical_formula_sum 'Y4 Al2 Sb2'
_space_group_name_H-M_alt 'A m m 2'
_space_group_IT_number 38
_cell_length_a 4.1654
_cell_length_b 4.4319
_cell_length_c 11.2394
_cell_angle_alpha 90.00
_cell_angle_beta 90.00
_cell_angle_gamma 90.00
loop_
_space_group_symop_operation_xyz
'x,y,z'
'-x,-y,z'
'-x,y,z'
'x,-y,z'
'x,y+1/2,z+1/2'
'-x,-y+1/2,z+1/2'
'-x,y+1/2,z+1/2'
'x,-y+1/2,z+1/2'
loop_
_atom_site_label
_atom_site_fract_x
_atom_site_fract_y
_atom_site_fract_z
_atom_site_occupancy
Y1 0.0000 0.0000 0.0000 1
Y2 0.5000 0.0000 0.2796 1
Al1 0.0000 0.0000 0.7339 1
Sb1 0.5000 0.0000 0.5605 1
```